The following is a theoretical powder XRD pattern of SmYAlTl. It was derived from a PBE-relaxed structure, using Cu Ka.
No peak broadening, texture or thermal motion is included.

Principal peaks in the range 10 to 90 degrees two-theta, by intensity:
d (Å)	I_rel	(hkl)
2.669	100	1 0 2
2.606	48	1 1 0
1.516	36	2 1 2
3.328	35	1 0 1
7.743	34	0 0 1
1.554	18	1 1 4
1.843	17	2 0 0
1.335	11	2 0 4
1.834	10	1 1 3
2.470	10	1 1 1

Lattice parameters (Å, degrees): 3.685 3.685 7.743 90.00 90.00 90.00
Space group P4mm (No. 99)
One atom of each set of equivalent atoms:
Sm1 0.000 0.000 0.000 [1 per cell]
Y1 0.000 0.000 0.528 [1 per cell]
Al1 0.500 0.500 0.758 [1 per cell]
Tl1 0.500 0.500 0.271 [1 per cell]